The following is a theoretical powder diffractogram of Fe2AuSO. It was derived from a structure optimized by DFT (PBE+U), using Cu Kα X-rays.
Intensities are scaled so that the largest is 100.

Cell and atoms:
```
data_Fe2AuSO
_cell_length_a 5.081
_cell_length_b 5.081
_cell_length_c 3.928
_cell_angle_alpha 90.00
_cell_angle_beta 90.00
_cell_angle_gamma 90.00
_space_group_name_H-M_alt 'P 4/m m m'
_space_group_IT_number 123
_space_group_name_Hall '-P 4 2'
loop_
_atom_site_label
_atom_site_type_symbol
_atom_site_fract_x
_atom_site_fract_y
_atom_site_fract_z
_atom_site_occupancy
Fe1 Fe 0.000 0.500 0.000 1
Au1 Au 0.000 0.000 0.000 1
S1 S 0.500 0.500 0.500 1
O1 O 0.000 0.000 0.500 1
```

Largest 8 diffraction maxima, low angle first, 10 to 90 degrees two-theta:
hkl 1 0 0, 17.46 deg, intensity 100; hkl 0 0 1, 22.64 deg, intensity 61; hkl 1 0 1, 28.73 deg, intensity 89; hkl 2 0 0, 35.33 deg, intensity 76; hkl 2 0 1, 42.37 deg, intensity 49; hkl 0 0 2, 46.17 deg, intensity 67; hkl 2 0 2, 59.48 deg, intensity 43; hkl 2 2 2, 71.11 deg, intensity 32